Record 1
Structure and theoretical XRD peak list of Dy4Ga12Pt (a DFT-relaxed cell (PBE, the Materials Project); copper Kα).
Intensities are scaled so that the largest is 100.

Top 10 peaks for 2θ from 5° to 70°, by angle:
d = 3.054 Å, 29.2°, intensity 56, (2 2 0); d = 2.731 Å, 32.8°, intensity 17, (3 1 0); d = 2.493 Å, 36.0°, intensity 100, (2 2 2); d = 2.308 Å, 39.0°, intensity 25, (3 2 1); d = 2.159 Å, 41.8°, intensity 82, (4 0 0); d = 2.036 Å, 44.5°, intensity 9, (3 3 0); d = 1.841 Å, 49.5°, intensity 15, (3 3 2); d = 1.763 Å, 51.9°, intensity 17, (4 2 2); d = 1.527 Å, 60.6°, intensity 48, (4 4 0); d = 1.366 Å, 68.7°, intensity 16, (6 2 0)

Structural model:
```
data_Dy4Ga12Pt
_chemical_formula_sum 'Dy8 Ga24 Pt2'
_cell_length_a 8.637
_cell_length_b 8.637
_cell_length_c 8.637
_cell_angle_alpha 90.00
_cell_angle_beta 90.00
_cell_angle_gamma 90.00
_symmetry_space_group_name_H-M 'I m -3 m'
_symmetry_Int_Tables_number 229
_symmetry_space_group_name_Hall '-I 4 2 3'
loop_
_atom_site_label
_atom_site_type_symbol
_atom_site_fract_x
_atom_site_fract_y
_atom_site_fract_z
_atom_site_occupancy
Dy1 Dy 0.250 0.250 0.250 1
Ga1 Ga 0.000 0.000 0.297 1
Ga2 Ga 0.000 0.250 0.500 1
Pt1 Pt 0.000 0.000 0.000 1
```

***

Record 2
Structure and theoretical XRD peak list of Y2MgCu4O8 (a DFT-relaxed cell (PBE, the Materials Project); copper Kα).
Intensities are scaled so that the largest is 100.

Top 10 peaks for 2θ from 5° to 70°, by angle:
d = 5.691 Å, 15.6°, intensity 34, (0 0 1); d = 3.330 Å, 26.8°, intensity 83, (1 1 0); d = 3.238 Å, 27.6°, intensity 70, (-1 1 1); d = 3.150 Å, 28.3°, intensity 25, (0 1 -2); d = 2.497 Å, 36.0°, intensity 100, (2 -1 0); d = 2.470 Å, 36.4°, intensity 44, (1 2 -2); d = 2.460 Å, 36.5°, intensity 42, (-2 1 1); d = 1.693 Å, 54.2°, intensity 27, (0 3 -3); d = 1.666 Å, 55.1°, intensity 23, (3 0 -3); d = 1.568 Å, 58.9°, intensity 25, (3 -2 0)

Structural model:
```
data_Y2MgCu4O8
_chemical_formula_sum 'Y2 Mg1 Cu4 O8'
_cell_length_a 5.683
_cell_length_b 5.688
_cell_length_c 6.862
_cell_angle_alpha 114.23
_cell_angle_beta 112.26
_cell_angle_gamma 90.04
_symmetry_space_group_name_H-M 'P 1'
_symmetry_Int_Tables_number 1
_symmetry_space_group_name_Hall 'P 1'
loop_
_atom_site_label
_atom_site_type_symbol
_atom_site_fract_x
_atom_site_fract_y
_atom_site_fract_z
_atom_site_occupancy
Y1 Y 0.000 0.000 0.000 1
Y2 Y 0.251 0.734 0.498 1
Mg1 Mg 0.757 0.220 0.496 1
Cu1 Cu 0.190 0.381 0.826 1
Cu2 Cu 0.549 0.799 0.153 1
Cu3 Cu 0.614 0.366 0.188 1
Cu4 Cu 0.640 0.430 0.825 1
O1 O 0.009 0.036 0.656 1
O2 O 0.256 0.718 0.861 1
O3 O 0.272 0.392 0.132 1
O4 O 0.396 0.988 0.351 1
O5 O 0.608 0.140 0.879 1
O6 O 0.644 0.584 0.634 1
O7 O 0.854 0.728 0.122 1
O8 O 0.954 0.341 0.347 1
```

***

Record 3
Structure and theoretical XRD peak list of Sr2NdSbO6 (a DFT-relaxed cell (PBE, the Materials Project); copper Kα).
Intensities are scaled so that the largest is 100.

Top 10 peaks for 2θ from 5° to 70°, by angle:
d = 4.251 Å, 20.9°, intensity 10, (2 0 0); d = 3.006 Å, 29.7°, intensity 100, (2 2 0); d = 2.689 Å, 33.3°, intensity 1, (3 0 1); d = 2.272 Å, 39.7°, intensity 1, (3 1 2); d = 2.126 Å, 42.5°, intensity 29, (4 0 0); d = 1.901 Å, 47.8°, intensity 4, (4 2 0); d = 1.736 Å, 52.7°, intensity 44, (4 2 2); d = 1.503 Å, 61.7°, intensity 17, (4 4 0); d = 1.417 Å, 65.9°, intensity 1, (4 4 2); d = 1.344 Å, 70.0°, intensity 18, (6 2 0)

Structural model:
```
data_Sr2NdSbO6
_chemical_formula_sum 'Sr8 Nd4 Sb4 O24'
_cell_length_a 8.503
_cell_length_b 8.503
_cell_length_c 8.503
_cell_angle_alpha 90.00
_cell_angle_beta 90.00
_cell_angle_gamma 90.00
_symmetry_space_group_name_H-M 'P n -3'
_symmetry_Int_Tables_number 201
loop_
_symmetry_equiv_pos_as_xyz
'x,y,z'
'-x,-y,-z'
'-x+1/2,-y+1/2,z'
'x+1/2,y+1/2,-z'
'x,-y+1/2,-z+1/2'
'-x,y+1/2,z+1/2'
'-x+1/2,y,-z+1/2'
'x+1/2,-y,z+1/2'
'z,x,y'
'-z,-x,-y'
'z,-x+1/2,-y+1/2'
'-z,x+1/2,y+1/2'
'-z+1/2,x,-y+1/2'
'z+1/2,-x,y+1/2'
'-z+1/2,-x+1/2,y'
'z+1/2,x+1/2,-y'
'y,z,x'
'-y,-z,-x'
'-y+1/2,z,-x+1/2'
'y+1/2,-z,x+1/2'
'-y+1/2,-z+1/2,x'
'y+1/2,z+1/2,-x'
'y,-z+1/2,-x+1/2'
'-y,z+1/2,x+1/2'
loop_
_atom_site_label
_atom_site_type_symbol
_atom_site_fract_x
_atom_site_fract_y
_atom_site_fract_z
_atom_site_occupancy
Sr1 Sr 0.250 0.250 0.250 1
Sr2 Sr 0.250 0.250 0.750 1
Nd1 Nd 0.000 0.000 0.000 1
Sb1 Sb 0.000 0.000 0.500 1
O1 O 0.034 0.541 0.769 1
```

***

Record 4
Structure and theoretical XRD peak list of MgSi (a DFT-relaxed cell (PBE, the Materials Project); copper Kα).
Intensities are scaled so that the largest is 100.

Top 10 peaks for 2θ from 5° to 70°, by angle:
d = 3.148 Å, 28.4°, intensity 35, (1 1 2); d = 2.898 Å, 30.9°, intensity 52, (0 0 4); d = 2.509 Å, 35.8°, intensity 46, (3 1 -1); d = 2.474 Å, 36.3°, intensity 87, (3 1 0); d = 2.451 Å, 36.7°, intensity 69, (1 1 -4); d = 2.267 Å, 39.8°, intensity 73, (3 1 -3); d = 2.256 Å, 40.0°, intensity 31, (2 0 -5); d = 2.221 Å, 40.6°, intensity 100, (0 2 0); d = 1.938 Å, 46.9°, intensity 61, (3 1 3); d = 1.927 Å, 47.2°, intensity 49, (1 1 5)

Structural model:
```
data_MgSi
_chemical_formula_sum 'Mg12 Si12'
_cell_length_a 9.133
_cell_length_b 4.442
_cell_length_c 11.844
_cell_angle_alpha 90.00
_cell_angle_beta 101.88
_cell_angle_gamma 90.00
_symmetry_space_group_name_H-M 'C 1 2/m 1'
_symmetry_Int_Tables_number 12
_symmetry_space_group_name_Hall '-C 2y'
loop_
_atom_site_label
_atom_site_type_symbol
_atom_site_fract_x
_atom_site_fract_y
_atom_site_fract_z
_atom_site_occupancy
Mg1 Mg 0.020 0.000 0.208 1
Mg2 Mg 0.128 0.500 0.415 1
Mg3 Mg 0.223 0.500 0.903 1
Si1 Si 0.077 0.000 0.592 1
Si2 Si 0.092 0.500 0.095 1
Si3 Si 0.182 0.500 0.660 1
```

***

Record 5
Structure and theoretical XRD peak list of LiCuPO4 (a DFT-relaxed cell (PBE, the Materials Project); copper Kα).
Intensities are scaled so that the largest is 100.

Top 10 peaks for 2θ from 5° to 70°, by angle:
d = 4.108 Å, 21.6°, intensity 100, (1 1 -1); d = 3.896 Å, 22.8°, intensity 70, (2 0 0); d = 3.317 Å, 26.9°, intensity 70, (1 0 2); d = 3.146 Å, 28.4°, intensity 35, (2 1 -1); d = 2.773 Å, 32.3°, intensity 37, (2 1 -2); d = 2.647 Å, 33.9°, intensity 23, (0 2 0); d = 2.520 Å, 35.6°, intensity 18, (0 2 1); d = 2.047 Å, 44.2°, intensity 14, (2 2 1); d = 1.987 Å, 45.7°, intensity 15, (3 0 2); d = 1.551 Å, 59.6°, intensity 17, (2 3 -2)

Structural model:
```
data_LiCuPO4
_chemical_formula_sum 'Li4 Cu4 P4 O16'
_cell_length_a 8.038
_cell_length_b 5.295
_cell_length_c 8.484
_cell_angle_alpha 90.00
_cell_angle_beta 104.19
_cell_angle_gamma 90.00
_symmetry_space_group_name_H-M 'P 1 c 1'
_symmetry_Int_Tables_number 7
_symmetry_space_group_name_Hall 'P -2yc'
loop_
_atom_site_label
_atom_site_type_symbol
_atom_site_fract_x
_atom_site_fract_y
_atom_site_fract_z
_atom_site_occupancy
Li1 Li 0.000 0.138 0.000 1
Li2 Li 0.456 0.327 0.284 1
Cu1 Cu 0.086 0.347 0.360 1
Cu2 Cu 0.599 0.167 0.695 1
P1 P 0.224 0.177 0.740 1
P2 P 0.716 0.334 0.063 1
O1 O 0.095 0.197 0.570 1
O2 O 0.141 0.296 0.872 1
O3 O 0.259 0.105 0.282 1
O4 O 0.390 0.323 0.737 1
O5 O 0.578 0.191 0.128 1
O6 O 0.662 0.387 0.530 1
O7 O 0.748 0.213 0.905 1
O8 O 0.896 0.288 0.180 1
```

***

Record 6
Structure and theoretical XRD peak list of K2NaAlP2 (a DFT-relaxed cell (PBE, the Materials Project); copper Kα).
Intensities are scaled so that the largest is 100.

Top 10 peaks for 2θ from 5° to 70°, by angle:
d = 3.333 Å, 26.7°, intensity 16, (2 0 0); d = 3.159 Å, 28.3°, intensity 19, (0 0 2); d = 3.036 Å, 29.4°, intensity 25, (2 2 0); d = 2.902 Å, 30.8°, intensity 20, (0 2 2); d = 2.868 Å, 31.2°, intensity 100, (1 4 1); d = 2.469 Å, 36.4°, intensity 24, (2 4 0); d = 2.396 Å, 37.5°, intensity 26, (0 4 2); d = 2.293 Å, 39.3°, intensity 55, (2 0 2); d = 1.821 Å, 50.1°, intensity 16, (3 4 1); d = 1.762 Å, 51.9°, intensity 20, (1 4 3)

Structural model:
```
data_K2NaAlP2
_chemical_formula_sum 'K8 Na4 Al4 P8'
_cell_length_a 6.667
_cell_length_b 14.701
_cell_length_c 6.318
_cell_angle_alpha 90.00
_cell_angle_beta 90.00
_cell_angle_gamma 90.00
_symmetry_space_group_name_H-M 'I b a m'
_symmetry_Int_Tables_number 72
_symmetry_space_group_name_Hall '-I 2 2c'
loop_
_atom_site_label
_atom_site_type_symbol
_atom_site_fract_x
_atom_site_fract_y
_atom_site_fract_z
_atom_site_occupancy
K1 K 0.244 0.176 0.000 1
Na1 Na 0.000 0.000 0.250 1
Al1 Al 0.000 0.500 0.250 1
P1 P 0.197 0.409 0.000 1
```

***

Record 7
Structure and theoretical XRD peak list of HfSiW4 (a DFT-relaxed cell (PBE, the Materials Project); copper Kα).
Intensities are scaled so that the largest is 100.

Top 10 peaks for 2θ from 5° to 70°, by angle:
d = 4.342 Å, 20.5°, intensity 38, (1 1 1); d = 3.760 Å, 23.7°, intensity 8, (2 0 0); d = 2.659 Å, 33.7°, intensity 12, (2 2 0); d = 2.267 Å, 39.8°, intensity 100, (3 1 1); d = 2.171 Å, 41.6°, intensity 60, (2 2 2); d = 1.880 Å, 48.4°, intensity 15, (4 0 0); d = 1.725 Å, 53.1°, intensity 10, (3 3 1); d = 1.682 Å, 54.6°, intensity 3, (4 2 0); d = 1.535 Å, 60.3°, intensity 5, (4 2 2); d = 1.447 Å, 64.4°, intensity 33, (5 1 1)

Structural model:
```
data_HfSiW4
_chemical_formula_sum 'Hf4 Si4 W16'
_cell_length_a 7.520
_cell_length_b 7.520
_cell_length_c 7.520
_cell_angle_alpha 90.00
_cell_angle_beta 90.00
_cell_angle_gamma 90.00
_symmetry_space_group_name_H-M 'F -4 3 m'
_symmetry_Int_Tables_number 216
_symmetry_space_group_name_Hall 'F -4 2 3'
loop_
_atom_site_label
_atom_site_type_symbol
_atom_site_fract_x
_atom_site_fract_y
_atom_site_fract_z
_atom_site_occupancy
Hf1 Hf 0.000 0.000 0.000 1
Si1 Si 0.250 0.250 0.250 1
W1 W 0.124 0.124 0.624 1
```

***

Record 8
Structure and theoretical XRD peak list of Ti2B (a DFT-relaxed cell (PBE, the Materials Project); copper Kα).
Intensities are scaled so that the largest is 100.

Top 10 peaks for 2θ from 5° to 70°, by angle:
d = 4.001 Å, 22.2°, intensity 6, (1 1 0); d = 2.829 Å, 31.6°, intensity 13, (2 0 0); d = 2.368 Å, 38.0°, intensity 22, (0 0 2); d = 2.232 Å, 40.4°, intensity 100, (2 1 1); d = 2.038 Å, 44.5°, intensity 8, (1 1 2); d = 2.000 Å, 45.3°, intensity 3, (2 2 0); d = 1.816 Å, 50.2°, intensity 13, (2 0 2); d = 1.789 Å, 51.0°, intensity 14, (3 1 0); d = 1.428 Å, 65.4°, intensity 7, (3 1 2); d = 1.415 Å, 66.0°, intensity 2, (4 0 0)

Structural model:
```
data_Ti2B
_chemical_formula_sum 'Ti8 B4'
_cell_length_a 5.658
_cell_length_b 5.658
_cell_length_c 4.737
_cell_angle_alpha 90.00
_cell_angle_beta 90.00
_cell_angle_gamma 90.00
_symmetry_space_group_name_H-M 'I 4/m c m'
_symmetry_Int_Tables_number 140
_symmetry_space_group_name_Hall '-I 4 2c'
loop_
_atom_site_label
_atom_site_type_symbol
_atom_site_fract_x
_atom_site_fract_y
_atom_site_fract_z
_atom_site_occupancy
Ti1 Ti 0.164 0.336 0.000 1
B1 B 0.000 0.000 0.250 1
```